The following is a calculated powder diffraction line list of Cs2V2FeO7. It was derived from DFT lattice parameters and positions (GGA+U), using a wavelength of 1.5418 Å.
Lines closer than 0.1° are merged.

```
data_Cs2V2FeO7
_cell_length_a 6.0147
_cell_length_b 6.0147
_cell_length_c 21.0252
_cell_angle_alpha 90.00
_cell_angle_beta 90.00
_cell_angle_gamma 120.00
_symmetry_space_group_name_H-M 'R -3 m'
_symmetry_Int_Tables_number 166
_symmetry_space_group_name_Hall '-R 3 2"'
loop_
_atom_site_label
_atom_site_fract_x
_atom_site_fract_y
_atom_site_fract_z
_atom_site_occupancy
Cs1 0.0000 0.0000 0.2275 1
V1 0.0000 0.0000 0.4130 1
Fe1 0.0000 0.0000 0.0000 1
O1 0.0000 0.0000 0.5000 1
O2 0.0174 0.5087 0.2773 1
```

Top 10 peaks for 15 to 90 degrees two-theta, by angle:
(hkl), Position (°2θ), I/Imax
1 0 4, 24.05, 44.0
0 0 6, 25.42, 19.2
0 1 5, 27.26, 86.4
1 1 0, 29.71, 100.0
2 0 2, 35.51, 18.2
0 2 4, 38.58, 31.9
1 1 9, 49.41, 40.3
1 2 5, 51.24, 25.6
3 0 0, 52.72, 19.0
2 2 0, 61.69, 18.6